1.
Simulated powder diffraction line list of Ho2Se2O7 for Cu Kα X-rays, from a structure optimized by DFT (PBE).
Lines closer than 0.1° are merged.

Atomic structure:
```
data_Ho2Se2O7
_cell_length_a 10.4978
_cell_length_b 10.4978
_cell_length_c 5.1777
_cell_angle_alpha 90.00
_cell_angle_beta 90.00
_cell_angle_gamma 90.00
_symmetry_space_group_name_H-M 'P 42/n c m'
_symmetry_Int_Tables_number 138
loop_
_symmetry_equiv_pos_as_xyz
'x,y,z'
'-x,-y,-z'
'-y+1/2,x,z+1/2'
'y+1/2,-x,-z+1/2'
'-x+1/2,-y+1/2,z'
'x+1/2,y+1/2,-z'
'y,-x+1/2,z+1/2'
'-y,x+1/2,-z+1/2'
'x+1/2,-y,-z+1/2'
'-x+1/2,y,z+1/2'
'-y,-x,-z'
'y,x,z'
'-x,y+1/2,-z+1/2'
'x,-y+1/2,z+1/2'
'y+1/2,x+1/2,-z'
'-y+1/2,-x+1/2,z'
loop_
_atom_site_label
_atom_site_type_symbol
_atom_site_fract_x
_atom_site_fract_y
_atom_site_fract_z
Ho1 Ho 0.1283 0.6283 0.0000
Se1 Se 0.1293 0.1293 0.0367
O1 O 0.0035 0.6817 0.6308
O2 O 0.0641 0.0641 0.3133
O3 O 0.2500 0.7500 0.2500
```

Largest 10 diffraction maxima, sorted by position, 10° ≤ 2θ ≤ 80°:
2theta, Rel. int., hkl
11.92, 18, 1 1 0
29.61, 100, 2 2 1
34.16, 30, 4 0 0
34.65, 13, 0 0 2
49.09, 13, 4 4 0
49.45, 25, 4 0 2
58.38, 31, 6 2 1
59.03, 14, 2 2 3
61.48, 12, 4 4 2
79.68, 6, 6 6 1

---

2.
Simulated powder diffraction line list of Ho2Si2O7 for Cu Kα X-rays, from a structure optimized by DFT (PBE).
Lines closer than 0.1° are merged.

Atomic structure:
```
data_Ho2Si2O7
_cell_length_a 4.6895
_cell_length_b 10.7776
_cell_length_c 5.5393
_cell_angle_alpha 90.00
_cell_angle_beta 96.02
_cell_angle_gamma 90.00
_symmetry_space_group_name_H-M 'P 1 21/c 1'
_symmetry_Int_Tables_number 14
_symmetry_space_group_name_Hall '-P 2ybc'
loop_
_atom_site_label
_atom_site_type_symbol
_atom_site_fract_x
_atom_site_fract_y
_atom_site_fract_z
Ho1 Ho 0.1128 0.1500 0.4069
Si1 Si 0.3594 0.6132 0.6447
O1 O 0.1209 0.6837 0.4582
O2 O 0.2054 0.5516 0.8699
O3 O 0.3819 0.2046 0.7459
O4 O 0.5000 0.0000 0.0000
```

Largest 10 diffraction maxima, sorted by position, 10° ≤ 2θ ≤ 80°:
2theta, Rel. int., hkl
18.08, 33, 0 1 1
19.03, 39, 1 0 0
20.75, 27, 1 1 0
27.59, 56, 1 1 1
28.96, 100, 1 2 -1
29.69, 30, 0 3 1
33.25, 20, 0 4 0
33.58, 31, 0 1 2
36.45, 26, 1 3 1
41.24, 23, 1 4 -1

---

3.
Simulated powder diffraction line list of HoSiO3 for Cu Kα X-rays, from a structure optimized by DFT (PBE).
Lines closer than 0.1° are merged.

Atomic structure:
```
data_HoSiO3
_cell_length_a 5.1771
_cell_length_b 7.3108
_cell_length_c 5.1865
_cell_angle_alpha 90.00
_cell_angle_beta 90.00
_cell_angle_gamma 90.00
_symmetry_space_group_name_H-M 'I m m a'
_symmetry_Int_Tables_number 74
_symmetry_space_group_name_Hall '-I 2b 2'
loop_
_atom_site_label
_atom_site_type_symbol
_atom_site_fract_x
_atom_site_fract_y
_atom_site_fract_z
Ho1 Ho 0.0000 0.2500 0.0019
Si1 Si 0.0000 0.0000 0.5000
O1 O 0.0000 0.2500 0.4969
O2 O 0.2500 0.0011 0.7500
```

Largest 10 diffraction maxima, sorted by position, 10° ≤ 2θ ≤ 80°:
2theta, Rel. int., hkl
24.31, 53, 1 0 1
34.65, 100, 2 0 0
42.78, 40, 2 2 0
49.77, 22, 2 0 2
49.90, 11, 0 4 0
56.14, 16, 3 0 1
56.25, 8, 1 4 1
62.07, 26, 3 2 1
62.15, 13, 2 4 0
73.14, 16, 4 0 0

---

4.
Simulated powder diffraction line list of Ho2Si2O7 for Cu Kα X-rays, from a structure optimized by DFT (PBE).
Lines closer than 0.1° are merged.

Atomic structure:
```
data_Ho2Si2O7
_cell_length_a 6.5685
_cell_length_b 6.5976
_cell_length_c 11.9617
_cell_angle_alpha 94.56
_cell_angle_beta 91.00
_cell_angle_gamma 91.81
_symmetry_space_group_name_H-M 'P -1'
_symmetry_Int_Tables_number 2
_symmetry_space_group_name_Hall '-P 1'
loop_
_atom_site_label
_atom_site_type_symbol
_atom_site_fract_x
_atom_site_fract_y
_atom_site_fract_z
Ho1 Ho 0.0507 0.3290 0.1149
Ho2 Ho 0.1155 0.0921 0.3585
Ho3 Ho 0.3262 0.8282 0.1090
Ho4 Ho 0.3733 0.2147 0.6324
Si1 Si 0.1413 0.6263 0.3803
Si2 Si 0.1570 0.1484 0.8843
Si3 Si 0.3786 0.7234 0.5958
Si4 Si 0.4869 0.6638 0.8262
O1 O 0.9995 0.3340 0.9184
O2 O 0.0012 0.9833 0.8150
O3 O 0.0406 0.2267 0.5725
O4 O 0.0691 0.4161 0.3101
O5 O 0.2259 0.9039 0.6253
O6 O 0.2375 0.0872 0.0055
O7 O 0.2848 0.7837 0.3117
O8 O 0.2893 0.5712 0.4880
O9 O 0.2975 0.7057 0.9083
O10 O 0.3513 0.2126 0.8132
O11 O 0.3540 0.4904 0.1238
O12 O 0.3844 0.1382 0.2133
O13 O 0.4000 0.5622 0.6949
O14 O 0.4135 0.1683 0.4462
```

Largest 10 diffraction maxima, sorted by position, 10° ≤ 2θ ≤ 80°:
2theta, Rel. int., hkl
20.32, 33, 1 1 -1
20.52, 44, -1 1 1
27.13, 25, 0 2 0
28.73, 25, 1 -1 3
29.98, 100, 0 0 4
30.84, 54, 2 0 -2
31.40, 36, -1 2 1
32.16, 42, 2 1 1
33.26, 25, 1 2 -2
50.86, 31, 2 1 5

---

5.
Simulated powder diffraction line list of Ho2SiO5 for Cu Kα X-rays, from a structure optimized by DFT (PBE).
Lines closer than 0.1° are merged.

Atomic structure:
```
data_Ho2SiO5
_cell_length_a 14.3649
_cell_length_b 6.6839
_cell_length_c 10.2918
_cell_angle_alpha 90.00
_cell_angle_beta 122.10
_cell_angle_gamma 90.00
_symmetry_space_group_name_H-M 'C 1 2/c 1'
_symmetry_Int_Tables_number 15
_symmetry_space_group_name_Hall '-C 2yc'
loop_
_atom_site_label
_atom_site_type_symbol
_atom_site_fract_x
_atom_site_fract_y
_atom_site_fract_z
Ho1 Ho 0.0363 0.2456 0.4641
Ho2 Ho 0.1412 0.1253 0.8354
Si1 Si 0.1819 0.4091 0.3081
O1 O 0.0182 0.0965 0.8986
O2 O 0.0890 0.4991 0.1400
O3 O 0.1186 0.2102 0.3204
O4 O 0.1998 0.4321 0.9405
O5 O 0.2022 0.1472 0.6745
```

Largest 10 diffraction maxima, sorted by position, 10° ≤ 2θ ≤ 80°:
2theta, Rel. int., hkl
14.56, 38, 2 0 0
15.12, 39, 1 1 0
22.89, 100, 3 1 -1
25.27, 55, 4 0 -2
28.61, 59, 0 2 1
29.82, 87, 3 1 -3
30.52, 35, 2 2 0
30.64, 41, 1 1 -3
30.94, 96, 2 0 2
35.25, 51, 5 1 -1

---

6.
Simulated powder diffraction line list of Ho2Si2O7 for Cu Kα X-rays, from a structure optimized by DFT (PBE).
Lines closer than 0.1° are merged.

Atomic structure:
```
data_Ho2Si2O7
_cell_length_a 13.5511
_cell_length_b 4.9971
_cell_length_c 8.1143
_cell_angle_alpha 90.00
_cell_angle_beta 90.00
_cell_angle_gamma 90.00
_symmetry_space_group_name_H-M 'P n a 21'
_symmetry_Int_Tables_number 33
_symmetry_space_group_name_Hall 'P 2c -2n'
loop_
_atom_site_label
_atom_site_type_symbol
_atom_site_fract_x
_atom_site_fract_y
_atom_site_fract_z
Ho1 Ho 0.1250 0.1651 0.0000
Ho2 Ho 0.1248 0.1648 0.4781
Si1 Si 0.0428 0.6245 0.7392
Si2 Si 0.1826 0.6253 0.2390
O1 O 0.0494 0.7899 0.5674
O2 O 0.0488 0.7919 0.9104
O3 O 0.0791 0.4412 0.2392
O4 O 0.1034 0.3439 0.7390
O5 O 0.1560 0.9403 0.2392
O6 O 0.2339 0.5102 0.4051
O7 O 0.2336 0.5113 0.0725
```

Largest 10 diffraction maxima, sorted by position, 10° ≤ 2θ ≤ 80°:
2theta, Rel. int., hkl
21.91, 47, 0 0 2
22.10, 93, 2 1 0
26.31, 47, 4 0 0
29.11, 40, 1 1 2
31.32, 100, 2 1 2
34.49, 38, 4 0 2
44.01, 38, 6 1 0
49.66, 30, 6 1 2
50.38, 24, 2 1 4
59.09, 28, 8 0 2

---

7.
Simulated powder diffraction line list of Ho3TaO7 for Cu Kα X-rays, from a structure optimized by DFT (PBE).
Lines closer than 0.1° are merged.

Atomic structure:
```
data_Ho3TaO7
_cell_length_a 7.4307
_cell_length_b 10.4386
_cell_length_c 7.4071
_cell_angle_alpha 90.00
_cell_angle_beta 90.00
_cell_angle_gamma 90.00
_symmetry_space_group_name_H-M 'C 2 2 21'
_symmetry_Int_Tables_number 20
_symmetry_space_group_name_Hall 'C 2c 2'
loop_
_atom_site_label
_atom_site_type_symbol
_atom_site_fract_x
_atom_site_fract_y
_atom_site_fract_z
Ho1 Ho 0.0300 0.0000 0.0000
Ho2 Ho 0.2323 0.2680 0.7592
Ta1 Ta 0.0019 0.5000 0.0000
O1 O 0.0000 0.1291 0.2500
O2 O 0.0000 0.1386 0.7500
O3 O 0.0000 0.4295 0.7500
O4 O 0.1847 0.3719 0.0451
O5 O 0.2067 0.3764 0.4755
```

Largest 10 diffraction maxima, sorted by position, 10° ≤ 2θ ≤ 80°:
2theta, Rel. int., hkl
29.54, 100, 0 2 2
34.18, 24, 2 0 2
34.36, 11, 0 4 0
49.04, 6, 4 0 0
49.24, 36, 0 0 4
58.31, 12, 4 2 2
58.42, 14, 2 2 4
58.61, 12, 0 6 2
61.39, 5, 0 4 4
79.85, 7, 0 2 6

---

8.
Simulated powder diffraction line list of Tb2HoO4 for Cu Kα X-rays, from a structure optimized by DFT (PBE).
Lines closer than 0.1° are merged.

Atomic structure:
Lattice parameters (Å, degrees): 9.5642 9.5642 9.5642 90.00 90.00 90.00
Space group Fd-3m (No. 227, origin choice 2)
Asymmetric unit:
Tb  0.0000  0.0000  0.0000 x16
Ho  0.1250  0.1250  0.6250 x8
O  0.0062  0.0062  0.2438 x32

Largest 10 diffraction maxima, sorted by position, 10° ≤ 2θ ≤ 80°:
2theta, Rel. int., hkl
26.36, 27, 2 2 0
31.01, 100, 3 1 1
32.43, 25, 2 2 2
37.62, 10, 4 0 0
46.52, 12, 4 2 2
49.52, 38, 5 1 1
54.25, 40, 4 4 0
63.82, 13, 5 3 3
64.64, 12, 6 2 2
76.51, 22, 5 5 3

---

9.
Simulated powder diffraction line list of Ho2Te5O13 for Cu Kα X-rays, from a structure optimized by DFT (PBE).
Lines closer than 0.1° are merged.

Atomic structure:
```
data_Ho2Te5O13
_cell_length_a 6.8964
_cell_length_b 8.5404
_cell_length_c 10.4162
_cell_angle_alpha 89.02
_cell_angle_beta 86.88
_cell_angle_gamma 74.99
_symmetry_space_group_name_H-M 'P -1'
_symmetry_Int_Tables_number 2
_symmetry_space_group_name_Hall '-P 1'
loop_
_atom_site_label
_atom_site_type_symbol
_atom_site_fract_x
_atom_site_fract_y
_atom_site_fract_z
Ho1 Ho 0.0022 0.2644 0.2627
Ho2 Ho 0.4473 0.4704 0.3197
Te1 Te 0.1272 0.3442 0.6038
Te2 Te 0.1571 0.8034 0.1302
Te3 Te 0.2723 0.3952 0.9766
Te4 Te 0.2902 0.8844 0.4672
Te5 Te 0.4320 0.9100 0.8056
O1 O 0.0412 0.3496 0.0615
O2 O 0.0559 0.8211 0.5322
O3 O 0.0599 0.0201 0.1837
O4 O 0.0671 0.2661 0.7820
O5 O 0.1233 0.4875 0.3944
O6 O 0.2376 0.4954 0.6864
O7 O 0.3120 0.7358 0.7916
O8 O 0.3315 0.2202 0.2771
O9 O 0.3326 0.7442 0.2690
O10 O 0.3371 0.5147 0.1136
O11 O 0.3431 0.9928 0.6239
O12 O 0.4611 0.1886 0.0118
O13 O 0.4684 0.6751 0.4966
```

Largest 10 diffraction maxima, sorted by position, 10° ≤ 2θ ≤ 80°:
2theta, Rel. int., hkl
27.67, 85, 1 2 2
27.95, 93, 0 1 -3
28.01, 100, 2 1 -1
28.25, 83, 1 -2 0
31.16, 59, 2 0 2
32.81, 46, -1 1 3
33.23, 42, 1 3 -1
45.45, 25, 1 1 5
46.30, 26, -3 1 1
47.39, 43, 2 2 -4